Entry 1:
Theoretical powder diffraction line list of Na2Cd5Ag3 for Cu Kα, 1.54184 Å, from a crystal structure in Alexandria, relaxed with PBE.
Intensities are scaled so that the largest is 100.

Structural model:
Unit cell a=8.930 b=8.930 c=5.682 alpha=91.52 beta=91.52 gamma=106.60
Positions (direct):
Na1 0.121 0.631 0.881
Na2 0.369 0.879 0.619
Na3 0.631 0.121 0.381
Na4 0.879 0.369 0.119
Cd1 0.036 0.964 0.750
Cd2 0.217 0.298 0.991
Cd3 0.221 0.526 0.392
Cd4 0.298 0.217 0.491
Cd5 0.474 0.779 0.108
Cd6 0.526 0.221 0.892
Cd7 0.702 0.783 0.509
Cd8 0.779 0.474 0.608
Cd9 0.783 0.702 0.009
Cd10 0.964 0.036 0.250
Ag1 0.025 0.730 0.375
Ag2 0.270 0.975 0.125
Ag3 0.469 0.531 0.750
Ag4 0.531 0.469 0.250
Ag5 0.730 0.025 0.875
Ag6 0.975 0.270 0.625

Main lines, sorted by position (10 to 90 degrees two-theta):
2theta	d/Å	I_rel
12.36	7.159	38
19.07	4.654	27
29.72	3.006	36
34.71	2.585	31
35.95	2.498	43
36.29	2.475	100
36.52	2.461	53
37.40	2.404	38
42.27	2.138	27
43.55	2.078	24
65.58	1.423	16
71.47	1.320	17

***

Entry 2:
Theoretical powder diffraction line list of Na2Cd12Ag for Cu Kα, 1.54184 Å, from a crystal structure in Alexandria, relaxed with PBE.
Intensities are scaled so that the largest is 100.

Structural model:
Unit cell a=6.149 b=6.149 c=20.057 alpha=90.00 beta=90.00 gamma=90.00
Positions (direct):
Na1 0.250 0.750 0.237
Na2 0.250 0.750 0.763
Na3 0.750 0.250 0.237
Na4 0.750 0.250 0.763
Cd1 0.000 0.000 0.407
Cd2 0.000 0.000 0.593
Cd3 0.000 0.500 0.407
Cd4 0.000 0.500 0.593
Cd5 0.078 0.578 0.066
Cd6 0.078 0.922 0.934
Cd7 0.250 0.250 0.164
Cd8 0.250 0.250 0.303
Cd9 0.250 0.250 0.697
Cd10 0.250 0.250 0.836
Cd11 0.422 0.578 0.934
Cd12 0.422 0.922 0.066
Cd13 0.500 0.000 0.407
Cd14 0.500 0.000 0.593
Cd15 0.500 0.500 0.407
Cd16 0.500 0.500 0.593
Cd17 0.578 0.078 0.934
Cd18 0.578 0.422 0.066
Cd19 0.750 0.750 0.164
Cd20 0.750 0.750 0.303
Cd21 0.750 0.750 0.697
Cd22 0.750 0.750 0.836
Cd23 0.922 0.078 0.066
Cd24 0.922 0.422 0.934
Ag1 0.250 0.750 0.500
Ag2 0.750 0.250 0.500

Main lines, sorted by position (10 to 90 degrees two-theta):
2theta	d/Å	I_rel
22.29	3.989	66
30.41	2.939	57
33.81	2.651	30
34.21	2.621	23
35.29	2.543	23
36.83	2.440	31
37.30	2.411	22
37.60	2.392	28
39.82	2.264	100
40.48	2.229	18
41.55	2.174	63
60.22	1.537	29

***

Entry 3:
Theoretical powder diffraction line list of Na3Cd2Ag3 for Cu Kα, 1.54184 Å, from a crystal structure in Alexandria, relaxed with PBE.
Intensities are scaled so that the largest is 100.

Structural model:
Unit cell a=7.836 b=7.836 c=7.836 alpha=41.97 beta=41.97 gamma=41.97
Positions (direct):
Na1 0.000 0.000 0.000
Na2 0.425 0.425 0.425
Na3 0.575 0.575 0.575
Cd1 0.282 0.282 0.282
Cd2 0.718 0.718 0.718
Ag1 0.000 0.000 0.500
Ag2 0.000 0.500 0.000
Ag3 0.500 0.000 0.000

Main lines, sorted by position (10 to 90 degrees two-theta):
2theta	d/Å	I_rel
12.41	7.135	49
20.06	4.426	100
34.34	2.612	47
34.66	2.588	58
37.23	2.415	46
37.83	2.378	24
40.78	2.213	56
40.91	2.206	20
42.78	2.114	42
50.40	1.811	17
58.62	1.575	24
66.65	1.403	19

***

Entry 4:
Theoretical powder diffraction line list of Na3Cd8Ag3 for Cu Kα, 1.54184 Å, from a crystal structure in Alexandria, relaxed with PBE.
Intensities are scaled so that the largest is 100.

Structural model:
Unit cell a=8.566 b=8.566 c=8.566 alpha=146.86 beta=100.03 gamma=89.34
Positions (direct):
Na1 0.000 0.000 0.000
Na2 0.284 0.284 0.000
Na3 0.716 0.716 0.000
Cd1 0.001 0.368 0.633
Cd2 0.149 0.866 0.284
Cd3 0.264 0.632 0.633
Cd4 0.418 0.134 0.284
Cd5 0.582 0.866 0.716
Cd6 0.736 0.368 0.367
Cd7 0.851 0.134 0.716
Cd8 0.999 0.632 0.367
Ag1 0.360 0.500 0.860
Ag2 0.500 0.000 0.500
Ag3 0.640 0.500 0.140

Main lines, sorted by position (10 to 90 degrees two-theta):
2theta	d/Å	I_rel
16.10	5.504	31
19.88	4.466	34
23.35	3.810	35
30.46	2.934	21
32.97	2.717	62
33.63	2.665	33
33.91	2.644	30
35.68	2.516	40
36.79	2.443	69
38.25	2.353	100
42.79	2.113	79
66.37	1.409	30

***

Entry 5:
Theoretical powder diffraction line list of NaCd2Ag9 for Cu Kα, 1.54184 Å, from a crystal structure in Alexandria, relaxed with PBE.
Intensities are scaled so that the largest is 100.

Structural model:
Unit cell a=9.575 b=9.575 c=2.902 alpha=90.00 beta=90.00 gamma=120.00
Positions (direct):
Na1 0.000 0.000 0.000
Cd1 0.333 0.667 0.000
Cd2 0.667 0.333 0.000
Ag1 0.000 0.500 0.000
Ag2 0.175 0.350 0.500
Ag3 0.175 0.825 0.500
Ag4 0.350 0.175 0.500
Ag5 0.500 0.000 0.000
Ag6 0.500 0.500 0.000
Ag7 0.650 0.825 0.500
Ag8 0.825 0.175 0.500
Ag9 0.825 0.650 0.500

Main lines, sorted by position (10 to 90 degrees two-theta):
2theta	d/Å	I_rel
10.67	8.292	22
32.70	2.739	14
36.20	2.482	19
37.57	2.394	100
37.84	2.377	43
42.45	2.129	28
45.31	2.001	10
54.39	1.687	14
67.81	1.382	15
67.99	1.379	13
76.83	1.241	23
80.20	1.197	9

***

Entry 6:
Theoretical powder diffraction line list of NaCd3Ag6 for Cu Kα, 1.54184 Å, from a crystal structure in Alexandria, relaxed with PBE.
Intensities are scaled so that the largest is 100.

Structural model:
Unit cell a=5.220 b=8.040 c=10.336 alpha=109.36 beta=99.06 gamma=102.67
Positions (direct):
Na1 0.158 0.052 0.400
Na2 0.842 0.948 0.600
Cd1 0.051 0.353 0.801
Cd2 0.255 0.759 0.002
Cd3 0.356 0.460 0.607
Cd4 0.644 0.540 0.393
Cd5 0.745 0.241 0.998
Cd6 0.949 0.647 0.199
Ag1 0.053 0.344 0.296
Ag2 0.146 0.051 0.902
Ag3 0.246 0.741 0.498
Ag4 0.349 0.443 0.097
Ag5 0.455 0.156 0.707
Ag6 0.462 0.147 0.201
Ag7 0.538 0.853 0.799
Ag8 0.545 0.844 0.293
Ag9 0.651 0.557 0.903
Ag10 0.754 0.259 0.502
Ag11 0.854 0.949 0.098
Ag12 0.947 0.656 0.704

Main lines, sorted by position (10 to 90 degrees two-theta):
2theta	d/Å	I_rel
36.29	2.475	51
36.49	2.462	51
36.68	2.450	100
42.17	2.143	33
42.27	2.138	33
42.87	2.109	31
61.14	1.516	10
61.33	1.511	20
61.62	1.505	10
73.25	1.292	12
73.63	1.287	23
77.99	1.225	10

***

Entry 7:
Theoretical powder diffraction line list of Na6Cd10Ag for Cu Kα, 1.54184 Å, from a crystal structure in Alexandria, relaxed with PBE.
Intensities are scaled so that the largest is 100.

Structural model:
Unit cell a=8.986 b=8.986 c=6.135 alpha=90.00 beta=90.00 gamma=120.00
Positions (direct):
Na1 0.000 0.385 0.286
Na2 0.000 0.615 0.714
Na3 0.385 0.000 0.286
Na4 0.385 0.385 0.714
Na5 0.615 0.000 0.714
Na6 0.615 0.615 0.286
Cd1 0.000 0.246 0.812
Cd2 0.000 0.754 0.188
Cd3 0.246 0.000 0.812
Cd4 0.246 0.246 0.188
Cd5 0.333 0.667 0.000
Cd6 0.333 0.667 0.500
Cd7 0.667 0.333 0.000
Cd8 0.667 0.333 0.500
Cd9 0.754 0.000 0.188
Cd10 0.754 0.754 0.812
Ag1 0.000 0.000 0.500

Main lines, sorted by position (10 to 90 degrees two-theta):
2theta	d/Å	I_rel
19.76	4.493	24
22.85	3.891	17
24.56	3.625	43
30.39	2.941	26
33.79	2.652	85
34.58	2.594	54
35.43	2.533	100
42.58	2.123	15
45.85	1.979	15
50.35	1.812	29
53.45	1.714	18
53.99	1.698	24

***

Entry 8:
Theoretical powder diffraction line list of NaCdAgPb for Cu Kα, 1.54184 Å, from a crystal structure in Alexandria, relaxed with PBE.
Intensities are scaled so that the largest is 100.

Structural model:
Unit cell a=5.092 b=5.092 c=5.092 alpha=60.00 beta=60.00 gamma=60.00
Positions (direct):
Na1 0.000 0.000 0.000
Cd1 0.250 0.250 0.250
Ag1 0.500 0.500 0.500
Pb1 0.750 0.750 0.750

Main lines, sorted by position (10 to 90 degrees two-theta):
2theta	d/Å	I_rel
21.37	4.158	17
24.72	3.601	19
35.25	2.546	100
41.59	2.171	10
43.53	2.079	6
50.70	1.800	18
55.63	1.652	4
57.20	1.610	8
63.26	1.470	36
74.54	1.273	11
79.92	1.200	4
85.22	1.139	16